[1]
# MgZnSb
Theoretical X-ray diffraction stick pattern, a wavelength of 1.5418 Å. Input: DFT lattice parameters and positions (PBE).
Neutral-atom scattering factors, no anomalous dispersion.

Peak list (10 most intense, 2θ = 5–70°, sorted by position)
d/Å  Position (°2θ)  I_rel  (hkl)
3.670  24.25  100.0  0 1 3
3.239  27.54  93.8  1 0 1
2.800  31.96  91.2  1 1 0
2.570  34.91  73.0  0 0 6
2.482  36.20  54.1  0 2 2
2.266  39.79  52.1  1 1 4
2.257  39.94  39.9  1 0 5
2.168  41.67  61.3  0 2 4
1.909  47.65  84.7  1 2 3
1.893  48.05  44.5  1 1 6

```
data_MgZnSb
_chemical_formula_sum 'Mg4 Zn4 Sb4'
_space_group_name_H-M_alt 'I m m m'
_space_group_IT_number 71
_space_group_name_Hall '-I 2 2'
_cell_length_a 3.3124
_cell_length_b 5.2425
_cell_length_c 15.4190
_cell_angle_alpha 90.00
_cell_angle_beta 90.00
_cell_angle_gamma 90.00
loop_
_atom_site_label
_atom_site_type_symbol
_atom_site_fract_x
_atom_site_fract_y
_atom_site_fract_z
Mg1 Mg 0.0000 0.0000 0.1364
Zn1 Zn 0.0000 0.2621 0.5000
Sb1 Sb 0.0000 0.0000 0.3379
```


[2]
# MgSc
Theoretical X-ray diffraction stick pattern, a wavelength of 1.5418 Å. Input: DFT lattice parameters and positions (PBE).
Neutral-atom scattering factors, no anomalous dispersion.

Peak list (10 most intense, 2θ = 5–70°, sorted by position)
d/Å  Position (°2θ)  I_rel  (hkl)
5.171  17.15  19.1  0 0 2
2.732  32.78  85.9  1 0 1
2.586  34.69  40.2  0 0 4
2.485  36.15  100.0  1 0 2
2.189  41.24  43.2  1 0 3
1.671  54.96  17.1  1 0 5
1.636  56.24  27.0  1 1 0
1.473  63.14  17.5  1 0 6
1.382  67.79  29.3  1 1 4
1.366  68.70  13.3  2 0 2

```
data_MgSc
_chemical_formula_sum 'Mg2 Sc2'
_space_group_name_H-M_alt 'P 63/m m c'
_space_group_IT_number 194
_space_group_name_Hall '-P 6c 2c'
_cell_length_a 3.2714
_cell_length_b 3.2714
_cell_length_c 10.3425
_cell_angle_alpha 90.00
_cell_angle_beta 90.00
_cell_angle_gamma 120.00
loop_
_atom_site_label
_atom_site_type_symbol
_atom_site_fract_x
_atom_site_fract_y
_atom_site_fract_z
Mg1 Mg 0.0000 0.0000 0.0000
Sc1 Sc 0.3333 0.6667 0.2500
```


[3]
# Mg15Sc
Theoretical X-ray diffraction stick pattern, a wavelength of 1.5418 Å. Input: DFT lattice parameters and positions (PBE).
Neutral-atom scattering factors, no anomalous dispersion.

Peak list (10 most intense, 2θ = 5–70°, sorted by position)
d/Å  Position (°2θ)  I_rel  (hkl)
10.272  8.61  2.4  0 0 1
2.787  32.12  24.4  2 0 0
2.568  34.94  25.5  0 0 4
2.449  36.69  100.0  2 0 2
1.888  48.19  14.8  2 0 4
1.609  57.26  17.2  2 2 0
1.459  63.81  18.1  2 0 6
1.393  67.19  2.6  4 0 0
1.363  68.87  18.9  2 2 4
1.345  69.96  13.5  4 0 2

```
data_Mg15Sc
_chemical_formula_sum 'Mg15 Sc1'
_space_group_name_H-M_alt 'P -6 m 2'
_space_group_IT_number 187
_space_group_name_Hall 'P -6 2'
_cell_length_a 6.4354
_cell_length_b 6.4354
_cell_length_c 10.2719
_cell_angle_alpha 90.00
_cell_angle_beta 90.00
_cell_angle_gamma 120.00
loop_
_atom_site_label
_atom_site_type_symbol
_atom_site_fract_x
_atom_site_fract_y
_atom_site_fract_z
Mg1 Mg 0.0000 0.0000 0.0000
Mg2 Mg 0.0009 0.5005 0.0000
Mg3 Mg 0.3298 0.1649 0.2522
Mg4 Mg 0.3333 0.6667 0.2562
Mg5 Mg 0.5034 0.0068 0.5000
Sc1 Sc 0.0000 0.0000 0.5000
```


[4]
# Mg5Sc3
Theoretical X-ray diffraction stick pattern, a wavelength of 1.5418 Å. Input: DFT lattice parameters and positions (PBE).
Neutral-atom scattering factors, no anomalous dispersion.

Peak list (10 most intense, 2θ = 5–70°, sorted by position)
d/Å  Position (°2θ)  I_rel  (hkl)
4.761  18.64  2.5  1 1 1
3.612  24.64  3.2  0 0 4
3.566  24.97  6.3  2 0 0
2.538  35.37  100.0  2 0 4
2.521  35.61  49.1  2 2 0
1.806  50.53  8.4  0 0 8
1.785  51.18  8.1  0 4 0
1.781  51.30  8.1  4 0 0
1.468  63.34  16.1  2 2 8
1.459  63.80  31.7  4 2 4

```
data_Mg5Sc3
_chemical_formula_sum 'Mg20 Sc12'
_space_group_name_H-M_alt 'F m m m'
_space_group_IT_number 69
_space_group_name_Hall '-F 2 2'
_cell_length_a 7.1240
_cell_length_b 7.1389
_cell_length_c 14.4497
_cell_angle_alpha 90.00
_cell_angle_beta 90.00
_cell_angle_gamma 90.00
loop_
_atom_site_label
_atom_site_type_symbol
_atom_site_fract_x
_atom_site_fract_y
_atom_site_fract_z
Mg1 Mg 0.0000 0.0000 0.0000
Mg2 Mg 0.2500 0.2500 0.1238
Sc1 Sc 0.0000 0.0000 0.2472
Sc2 Sc 0.0000 0.0000 0.5000
```